Computed PXRD pattern of Zr2TaAu for Cu Kα X-rays, from the PBE geometry in Alexandria.

Crystal structure
```
Zr2TaAu
1.0
3.257 0.000 0.000
0.000 3.566 0.000
0.000 0.000 7.008
Zr Ta Au
2 1 1
direct
0.000 0.000 0.245 Zr
0.000 0.000 0.755 Zr
0.500 0.500 0.000 Ta
0.500 0.500 0.500 Au
```

Peak list (10 most intense, 10 to 90 degrees two-theta, by angle)
2theta, I/Imax
24.97, 14
35.93, 100
37.39, 90
37.71, 88
51.23, 18
52.21, 17
56.51, 14
65.33, 35
65.97, 34
68.80, 30

Computed PXRD pattern of Na3Ga4Hg2 for Cu Kα X-rays, from the PBE geometry in Alexandria.

Crystal structure
```
Na3Ga4Hg2
1.0
5.381 -2.347 0.000
5.381 2.347 0.000
-3.857 0.000 8.035
Na Ga Hg
3 4 2
direct
0.000 0.000 0.000 Na
0.306 0.306 0.359 Na
0.694 0.694 0.641 Na
0.007 0.007 0.648 Ga
0.256 0.256 0.926 Ga
0.744 0.744 0.074 Ga
0.993 0.993 0.352 Ga
0.426 0.426 0.751 Hg
0.574 0.574 0.249 Hg
```

Peak list (10 most intense, 10 to 90 degrees two-theta, by angle)
2theta, I/Imax
21.02, 36
21.82, 90
22.13, 43
25.22, 59
31.40, 62
33.54, 75
38.23, 100
38.35, 56
46.24, 36
46.46, 39